[1]
For Tb4Cu7Sn11, a PBE-relaxed structure gives the computed X-ray powder pattern in this record (Cu Kα (weighted mean of Kα1 and Kα2)).
Kinematic intensities with the Lorentz-polarization factor, no thermal factor.

Atomic structure:
a b c (Å): 4.433 4.433 25.107
angles (deg): 90.00 90.00 90.00
Space group P4mm (No. 99)
Asymmetric unit:
Tb  0.000  0.000  0.000 (multiplicity 1)
Tb  0.000  0.000  0.318 (multiplicity 1)
Tb  0.500  0.500  0.493 (multiplicity 1)
Tb  0.500  0.500  0.812 (multiplicity 1)
Cu  0.000  0.000  0.447 (multiplicity 1)
Cu  0.000  0.000  0.540 (multiplicity 1)
Cu  0.000  0.500  0.406 (multiplicity 2)
Cu  0.000  0.500  0.898 (multiplicity 2)
Cu  0.500  0.500  0.051 (multiplicity 1)
Sn  0.000  0.000  0.837 (multiplicity 1)
Sn  0.000  0.500  0.107 (multiplicity 2)
Sn  0.000  0.500  0.223 (multiplicity 2)
Sn  0.000  0.500  0.598 (multiplicity 2)
Sn  0.000  0.500  0.715 (multiplicity 2)
Sn  0.500  0.500  0.347 (multiplicity 1)
Sn  0.500  0.500  0.952 (multiplicity 1)

Main lines, in order of falling intensity (10 to 80 degrees two-theta):
2.509 Å, I = 1000; 2.217 Å, I = 853; 3.041 Å, I = 627; 2.804 Å, I = 350; 1.329 Å, I = 319; 2.788 Å, I = 286; 1.567 Å, I = 263; 1.403 Å, I = 176; 2.361 Å, I = 170; 1.960 Å, I = 162

[2]
For HgH6I3NO, a PBE-relaxed structure gives the computed X-ray powder pattern in this record (Cu Kα (weighted mean of Kα1 and Kα2)).
Kinematic intensities with the Lorentz-polarization factor, no thermal factor.

Atomic structure:
a b c (Å): 12.022 10.202 8.941
angles (deg): 90.00 90.64 90.00
Space group Cc (No. 9)
Asymmetric unit:
Hg  0.000  0.035  0.000 (multiplicity 4)
H  0.000  0.440  0.807 (multiplicity 4)
H  0.001  0.437  0.201 (multiplicity 4)
H  0.062  0.275  0.507 (multiplicity 4)
H  0.111  0.405  0.411 (multiplicity 4)
H  0.111  0.405  0.602 (multiplicity 4)
H  0.201  0.305  0.508 (multiplicity 4)
I  0.154  0.001  0.753 (multiplicity 4)
I  0.349  0.328  0.000 (multiplicity 4)
I  0.407  0.210  0.502 (multiplicity 4)
N  0.123  0.347  0.507 (multiplicity 4)
O  0.050  0.499  0.255 (multiplicity 4)

Main lines, in order of falling intensity (10 to 80 degrees two-theta):
7.778 Å, I = 1000; 3.889 Å, I = 477; 2.234 Å, I = 396; 3.570 Å, I = 353; 2.250 Å, I = 261; 4.470 Å, I = 252; 3.606 Å, I = 248; 6.011 Å, I = 189; 1.963 Å, I = 172; 3.272 Å, I = 170

[3]
For V2NiSe4, a PBE-relaxed structure gives the computed X-ray powder pattern in this record (Cu Kα (weighted mean of Kα1 and Kα2)).
Kinematic intensities with the Lorentz-polarization factor, no thermal factor.

Atomic structure:
a b c (Å): 6.192 3.577 12.006
angles (deg): 90.00 90.20 90.00
Space group C2/m (No. 12)
Asymmetric unit:
V  0.002  0.000  0.245 (multiplicity 4)
Ni  0.000  0.000  0.000 (multiplicity 2)
Se  0.166  0.500  0.885 (multiplicity 4)
Se  0.169  0.500  0.364 (multiplicity 4)

Main lines, in order of falling intensity (10 to 80 degrees two-theta):
2.752 Å, I = 1000; 1.788 Å, I = 413; 2.153 Å, I = 327; 2.158 Å, I = 323; 1.501 Å, I = 134; 3.000 Å, I = 121; 1.682 Å, I = 104; 1.679 Å, I = 89; 1.499 Å, I = 80; 1.375 Å, I = 71

[4]
For YTaNi10, a PBE-relaxed structure gives the computed X-ray powder pattern in this record (Cu Kα (weighted mean of Kα1 and Kα2)).
Kinematic intensities with the Lorentz-polarization factor, no thermal factor.

Atomic structure:
a b c (Å): 3.967 4.758 8.250
angles (deg): 90.00 90.00 90.00
Space group Pmmm (No. 47)
Asymmetric unit:
Y  0.000  0.000  0.000 (multiplicity 1)
Ta  0.000  0.500  0.500 (multiplicity 1)
Ni  0.000  0.000  0.344 (multiplicity 2)
Ni  0.000  0.500  0.183 (multiplicity 2)
Ni  0.500  0.000  0.500 (multiplicity 1)
Ni  0.500  0.256  0.261 (multiplicity 4)
Ni  0.500  0.500  0.000 (multiplicity 1)

Main lines, in order of falling intensity (10 to 80 degrees two-theta):
2.041 Å, I = 1000; 2.859 Å, I = 446; 2.061 Å, I = 335; 1.983 Å, I = 322; 2.380 Å, I = 286; 1.298 Å, I = 199; 1.429 Å, I = 197; 8.250 Å, I = 180; 1.524 Å, I = 140; 1.450 Å, I = 115

- Which formula does entry 2 have?
  HgH6I3NO

What did the first record say?
For Tb4Cu7Sn11, a PBE-relaxed structure gives the computed X-ray powder pattern in this record (Cu Kα (weighted mean of Kα1 and Kα2)).
Kinematic intensities with the Lorentz-polarization factor, no thermal factor.

Atomic structure:
a b c (Å): 4.433 4.433 25.107
angles (deg): 90.00 90.00 90.00
Space group P4mm (No. 99)
Asymmetric unit:
Tb  0.000  0.000  0.000 (multiplicity 1)
Tb  0.000  0.000  0.318 (multiplicity 1)
Tb  0.500  0.500  0.493 (multiplicity 1)
Tb  0.500  0.500  0.812 (multiplicity 1)
Cu  0.000  0.000  0.447 (multiplicity 1)
Cu  0.000  0.000  0.540 (multiplicity 1)
Cu  0.000  0.500  0.406 (multiplicity 2)
Cu  0.000  0.500  0.898 (multiplicity 2)
Cu  0.500  0.500  0.051 (multiplicity 1)
Sn  0.000  0.000  0.837 (multiplicity 1)
Sn  0.000  0.500  0.107 (multiplicity 2)
Sn  0.000  0.500  0.223 (multiplicity 2)
Sn  0.000  0.500  0.598 (multiplicity 2)
Sn  0.000  0.500  0.715 (multiplicity 2)
Sn  0.500  0.500  0.347 (multiplicity 1)
Sn  0.500  0.500  0.952 (multiplicity 1)

Main lines, in order of falling intensity (10 to 80 degrees two-theta):
2.509 Å, I = 1000; 2.217 Å, I = 853; 3.041 Å, I = 627; 2.804 Å, I = 350; 1.329 Å, I = 319; 2.788 Å, I = 286; 1.567 Å, I = 263; 1.403 Å, I = 176; 2.361 Å, I = 170; 1.960 Å, I = 162